# 1
Starting from a cell relaxed with GGA-PBE, the powder X-ray diffraction pattern of Ba4B2N4O was simulated for Cu Kα (λ = 1.5418 Å).
Neutral-atom scattering factors, no anomalous dispersion.

Main lines, in order of rising 2θ (10° ≤ 2θ ≤ 90°):
2θ/deg	I_rel
11.1	37
23.9	100
26.5	79
26.6	79
31.8	33
33.0	59
33.8	58
34.3	71
48.9	46
55.4	37

```
Ba4B2N4O
1.0
7.9539 -3.6926 0.0000
7.9539 3.6926 0.0000
0.0000 0.0000 7.4195
Ba B N O
8 4 8 2
direct
0.1743 0.1743 0.5000 Ba
0.1932 0.8068 0.8068 Ba
0.3068 0.6932 0.3068 Ba
0.3257 0.3257 0.0000 Ba
0.6743 0.6743 0.0000 Ba
0.6932 0.3068 0.6932 Ba
0.8068 0.1932 0.1932 Ba
0.8257 0.8257 0.5000 Ba
0.1373 0.1373 0.0000 B
0.3627 0.3627 0.5000 B
0.6373 0.6373 0.5000 B
0.8627 0.8627 0.0000 B
0.0051 0.2632 0.8715 N
0.2368 0.4949 0.6285 N
0.2632 0.0051 0.1285 N
0.4949 0.2368 0.3715 N
0.5051 0.7632 0.6285 N
0.7368 0.9949 0.8715 N
0.7632 0.5051 0.3715 N
0.9949 0.7368 0.1285 N
0.0000 0.0000 0.5000 O
0.5000 0.5000 0.0000 O
```

***

# 2
Starting from a cell relaxed with GGA-PBE, the powder X-ray diffraction pattern of Hg3Se2I2 was simulated for Cu Kα (λ = 1.5418 Å).
Neutral-atom scattering factors, no anomalous dispersion.

Main lines, in order of rising 2θ (10° ≤ 2θ ≤ 90°):
2θ/deg	I_rel
19.9	24
21.7	36
23.9	29
25.1	22
26.7	48
30.9	100
35.6	45
35.8	34
36.0	35
51.6	22

```
Hg3Se2I2
1.0
-5.0394 10.0206 4.9837
5.0394 -10.0206 4.9837
5.0394 10.0206 -4.9837
Hg Se I
12 8 8
direct
0.1512 0.0000 0.6512 Hg
0.1512 0.5000 0.1512 Hg
0.1666 0.0499 0.1167 Hg
0.2451 0.2746 0.5295 Hg
0.2451 0.7156 0.9705 Hg
0.4331 0.0499 0.3833 Hg
0.5669 0.9501 0.6167 Hg
0.7549 0.2844 0.0295 Hg
0.7549 0.7254 0.4705 Hg
0.8334 0.9501 0.8833 Hg
0.8488 0.0000 0.3488 Hg
0.8488 0.5000 0.8488 Hg
0.1285 0.2587 0.3750 Se
0.1285 0.7535 0.8698 Se
0.3837 0.2587 0.6302 Se
0.3837 0.7535 0.1250 Se
0.6163 0.2465 0.8750 Se
0.6163 0.7413 0.3698 Se
0.8715 0.2465 0.1302 Se
0.8715 0.7413 0.6250 Se
0.0158 0.2658 0.7500 I
0.2447 0.7455 0.4992 I
0.2537 0.2545 0.9992 I
0.4971 0.7471 0.7500 I
0.5029 0.2529 0.2500 I
0.7463 0.7455 0.0008 I
0.7553 0.2545 0.5008 I
0.9842 0.7342 0.2500 I
```

***

# 3
Starting from a cell relaxed with GGA-PBE, the powder X-ray diffraction pattern of CaAgO2 was simulated for Cu Kα (λ = 1.5418 Å).
Neutral-atom scattering factors, no anomalous dispersion.

Main lines, in order of rising 2θ (10° ≤ 2θ ≤ 90°):
2θ/deg	I_rel
19.2	28
25.7	31
32.3	100
36.7	76
39.1	34
41.8	14
52.8	13
54.7	43
63.4	32
89.9	13

```
CaAgO2
1.0
3.4674 -4.6127 0.0000
3.4674 4.6127 0.0000
0.0000 0.0000 3.4586
Ca Ag O
2 2 4
direct
0.0000 0.0000 0.0000 Ca
0.5000 0.5000 0.0000 Ca
0.0000 0.5000 0.5000 Ag
0.5000 0.0000 0.5000 Ag
0.2500 0.2500 0.5000 O
0.2500 0.7500 0.8656 O
0.7500 0.2500 0.1344 O
0.7500 0.7500 0.5000 O
```